# Na2LiMnPCO7
Calculated powder X-ray diffraction pattern, CuKα. Input: a GGA+U-relaxed structure.

The 6 most intense peaks (2θ from 10° to 80°), sorted by position:
index  2θ/deg  Rel. int.
1 0 -2  26.11  359
0 2 0  26.29  1000
0 2 -2  32.08  319
1 0 -3  34.51  335
2 0 0  34.62  573
0 4 0  54.11  340

Crystal structure
```
data_Na2LiMnPCO7
_chemical_formula_sum 'Na4 Li2 Mn2 P2 C2 O14'
_cell_length_a 5.1836
_cell_length_b 6.7954
_cell_length_c 8.9183
_cell_angle_alpha 93.92
_cell_angle_beta 91.27
_cell_angle_gamma 90.35
_space_group_name_H-M_alt 'P 1'
_space_group_IT_number 1
loop_
_space_group_symop_operation_xyz
'x,y,z'
loop_
_atom_site_label
_atom_site_type_symbol
_atom_site_fract_x
_atom_site_fract_y
_atom_site_fract_z
_atom_site_occupancy
Na1 Na 0.0000 0.0000 0.0000 1
Na2 Na 0.0028 0.2317 0.6611 1
Na3 Na 0.4959 0.6861 0.1482 1
Na4 Na 0.9970 0.7230 0.6631 1
Li1 Li 0.5108 0.4663 0.7996 1
Li2 Li 0.5259 0.1515 0.2104 1
Mn1 Mn 0.5228 0.9700 0.5588 1
Mn2 Mn 0.9613 0.4505 0.2758 1
P1 P 0.0272 0.9561 0.3298 1
P2 P 0.4520 0.4620 0.4974 1
C1 C 0.0224 0.4733 0.9542 1
C2 C 0.4864 0.9865 0.8645 1
O1 O 0.1366 0.4965 0.8279 1
O2 O 0.1517 0.4611 0.4848 1
O3 O 0.1647 0.4355 0.0710 1
O4 O 0.2806 0.9868 0.7771 1
O5 O 0.3295 0.9733 0.3403 1
O6 O 0.4657 0.9821 0.0090 1
O7 O 0.5405 0.2933 0.5972 1
O8 O 0.5453 0.6551 0.5859 1
O9 O 0.5591 0.4361 0.3352 1
O10 O 0.7107 0.9889 0.8019 1
O11 O 0.7734 0.4847 0.9629 1
O12 O 0.9153 0.1297 0.2434 1
O13 O 0.9244 0.9629 0.4919 1
O14 O 0.9469 0.7635 0.2371 1
```